Entry 1:
Structure and theoretical powder XRD pattern of Th7Ga2Sn2 (DFT lattice parameters and positions (PBE); Cu Ka).
Neutral-atom scattering factors, no anomalous dispersion.

Cell and atoms:
a b c (Å): 7.118 7.118 7.047
angles (deg): 90.00 90.00 104.31
Sites, in units of the cell vectors:
1 Th 0.000 0.000 0.000
2 Th 0.000 0.500 0.275
3 Th 0.000 0.500 0.725
4 Th 0.500 0.000 0.275
5 Th 0.500 0.000 0.725
6 Th 0.500 0.500 0.250
7 Th 0.500 0.500 0.750
8 Ga 0.272 0.728 0.000
9 Ga 0.728 0.272 0.000
10 Sn 0.170 0.170 0.500
11 Sn 0.830 0.830 0.500

Largest 6 diffraction maxima, low angle first, 2θ = 5–70°:
2theta, I/Imax
23.97, 23.8
25.84, 79.3
28.45, 44.2
31.83, 59.5
36.47, 100.0
41.34, 26.0

Entry 2:
Structure and theoretical powder XRD pattern of Ti12Ga3Sn (DFT lattice parameters and positions (PBE); Cu Ka).
Neutral-atom scattering factors, no anomalous dispersion.

Cell and atoms:
a b c (Å): 5.111 5.113 10.236
angles (deg): 90.00 90.00 90.00
Sites, in units of the cell vectors:
1 Ti 0.000 0.000 0.122
2 Ti 0.000 0.000 0.369
3 Ti 0.000 0.000 0.631
4 Ti 0.000 0.000 0.878
5 Ti 0.243 0.500 0.500
6 Ti 0.251 0.500 0.000
7 Ti 0.500 0.252 0.244
8 Ti 0.500 0.252 0.756
9 Ti 0.500 0.748 0.244
10 Ti 0.500 0.748 0.756
11 Ti 0.749 0.500 0.000
12 Ti 0.757 0.500 0.500
13 Ga 0.000 0.500 0.250
14 Ga 0.000 0.500 0.750
15 Ga 0.500 0.000 0.000
16 Sn 0.500 0.000 0.500

Largest 6 diffraction maxima, low angle first, 2θ = 5–70°:
2theta, I/Imax
24.62, 17.5
35.09, 46.0
39.40, 66.9
43.34, 100.0
65.85, 12.7
68.67, 47.9

Entry 3:
Structure and theoretical powder XRD pattern of Ti6Ga3Sn (DFT lattice parameters and positions (PBE); Cu Ka).
Neutral-atom scattering factors, no anomalous dispersion.

Cell and atoms:
a b c (Å): 7.827 7.827 6.425
angles (deg): 90.00 90.00 111.70
Sites, in units of the cell vectors:
1 Ti 0.042 0.958 0.500
2 Ti 0.053 0.453 0.021
3 Ti 0.229 0.334 0.319
4 Ti 0.285 0.715 0.311
5 Ti 0.334 0.229 0.819
6 Ti 0.453 0.053 0.521
7 Ti 0.547 0.947 0.021
8 Ti 0.666 0.771 0.319
9 Ti 0.715 0.285 0.811
10 Ti 0.771 0.666 0.819
11 Ti 0.947 0.547 0.521
12 Ti 0.958 0.042 0.000
13 Ga 0.048 0.279 0.676
14 Ga 0.279 0.048 0.176
15 Ga 0.443 0.557 0.019
16 Ga 0.557 0.443 0.519
17 Ga 0.721 0.952 0.676
18 Ga 0.952 0.721 0.176
19 Sn 0.189 0.811 0.813
20 Sn 0.811 0.189 0.313

Largest 6 diffraction maxima, low angle first, 2θ = 5–70°:
2theta, I/Imax
34.36, 29.0
37.22, 100.0
37.35, 97.2
44.26, 35.2
44.56, 39.8
45.85, 25.2